Record 1
# MgTlAs4
Theoretical X-ray powder pattern, Cu Kα. Input: a DFT-relaxed cell (PBE, Alexandria).

Crystal structure
a b c (Å): 8.1419 8.1419 8.1419
angles (deg): 90.00 90.00 90.00
Space group F-43m (No. 216)
Asymmetric unit:
Mg 0.0000 0.0000 0.0000 [4 per cell]
Tl 0.2500 0.2500 0.7500 [4 per cell]
As 0.1269 0.1269 0.3731 [16 per cell]

Most intense lines, 2θ from 5° to 70°, in order of falling intensity:
2θ 36.6, intensity 100.0, hkl 3 1 1
2θ 31.1, intensity 34.7, hkl 2 2 0
2θ 58.9, intensity 34.2, hkl 5 1 1
2θ 38.3, intensity 32.7, hkl 2 2 2
2θ 21.8, intensity 26.4, hkl 2 0 0
2θ 64.8, intensity 23.6, hkl 4 4 0
2θ 18.9, intensity 20.5, hkl 1 1 1
2θ 55.3, intensity 13.9, hkl 4 2 2
2θ 50.1, intensity 10.3, hkl 4 2 0
2θ 48.8, intensity 7.0, hkl 3 3 1
2θ 69.2, intensity 5.5, hkl 4 4 2
2θ 68.1, intensity 4.2, hkl 5 3 1

***

Record 2
# Mg3Zn3As4
Theoretical X-ray powder pattern, Cu Kα. Input: a DFT-relaxed cell (PBE, Alexandria).

Crystal structure
a b c (Å): 14.5104 4.2555 7.4146
angles (deg): 90.00 99.75 90.00
Space group Cm (No. 8)
Asymmetric unit:
Mg 0.0000 0.0000 0.0000 [2 per cell]
Mg 0.0023 0.5000 0.4728 [2 per cell]
Mg 0.1417 0.5000 0.8655 [2 per cell]
Zn 0.1560 0.0000 0.3708 [2 per cell]
Zn 0.3505 0.0000 0.0992 [2 per cell]
Zn 0.3550 0.5000 0.6090 [2 per cell]
As 0.1808 0.0000 0.0538 [2 per cell]
As 0.1836 0.5000 0.5403 [2 per cell]
As 0.4194 0.5000 0.2948 [2 per cell]
As 0.4300 0.0000 0.7942 [2 per cell]

Most intense lines, 2θ from 5° to 70°, in order of falling intensity:
2θ 25.5, intensity 100.0, hkl 1 1 1
2θ 41.6, intensity 57.3, hkl 5 1 1
2θ 42.3, intensity 48.9, hkl 1 1 -3
2θ 24.9, intensity 35.7, hkl 4 0 0
2θ 42.5, intensity 24.6, hkl 0 2 0
2θ 49.7, intensity 21.2, hkl 3 1 3
2θ 49.9, intensity 15.7, hkl 4 2 0
2θ 32.0, intensity 15.0, hkl 4 0 -2
2θ 49.1, intensity 13.0, hkl 6 0 2
2θ 61.0, intensity 11.8, hkl 6 2 -2
2θ 50.2, intensity 10.1, hkl 2 2 -2
2θ 60.7, intensity 6.0, hkl 4 0 4

***

Record 3
# Mn3As2
Theoretical X-ray powder pattern, Cu Kα. Input: a DFT-relaxed cell (PBE, Alexandria).

Crystal structure
a b c (Å): 3.4327 13.0160 12.9161
angles (deg): 90.00 90.00 90.00
Space group Cmc2_1 (No. 36)
Asymmetric unit:
Mn 0.0000 0.0298 0.0000 [4 per cell]
Mn 0.0000 0.1106 0.6752 [4 per cell]
Mn 0.0000 0.1719 0.4210 [4 per cell]
Mn 0.0000 0.2307 0.1366 [4 per cell]
Mn 0.0000 0.3707 0.3340 [4 per cell]
Mn 0.0000 0.4429 0.6807 [4 per cell]
As 0.0000 0.0092 0.3165 [4 per cell]
As 0.0000 0.2664 0.7840 [4 per cell]
As 0.0000 0.3380 0.5159 [4 per cell]
As 0.0000 0.4018 0.0469 [4 per cell]

Most intense lines, 2θ from 5° to 70°, in order of falling intensity:
2θ 39.5, intensity 100.0, hkl 1 3 3
2θ 43.8, intensity 88.6, hkl 1 3 4
2θ 44.3, intensity 51.9, hkl 1 5 1
2θ 34.1, intensity 46.6, hkl 1 1 3
2θ 53.4, intensity 44.7, hkl 2 0 0
2θ 42.2, intensity 29.5, hkl 0 6 1
2θ 48.9, intensity 25.7, hkl 1 3 5
2θ 30.8, intensity 22.0, hkl 0 4 2
2θ 33.3, intensity 21.9, hkl 1 3 0
2θ 44.0, intensity 20.0, hkl 0 6 2
2θ 30.3, intensity 19.6, hkl 1 1 2
2θ 42.0, intensity 16.5, hkl 0 0 6

***

Record 4
# Mn3As2
Theoretical X-ray powder pattern, Cu Kα. Input: a DFT-relaxed cell (PBE, Alexandria).

Crystal structure
a b c (Å): 6.2831 10.0944 4.9425
angles (deg): 90.00 90.00 90.00
Space group Ibam (No. 72)
Asymmetric unit:
Mn 0.0000 0.0000 0.2500 [4 per cell]
Mn 0.1420 0.3900 0.0000 [8 per cell]
As 0.2462 0.1378 0.0000 [8 per cell]

Most intense lines, 2θ from 5° to 70°, in order of falling intensity:
2θ 51.8, intensity 100.0, hkl 0 4 2
2θ 50.7, intensity 93.9, hkl 3 2 1
2θ 46.8, intensity 80.7, hkl 2 0 2
2θ 46.1, intensity 77.3, hkl 2 4 0
2θ 36.4, intensity 68.4, hkl 0 0 2
2θ 35.6, intensity 62.1, hkl 0 4 0
2θ 40.2, intensity 53.0, hkl 1 1 2
2θ 29.0, intensity 49.4, hkl 1 2 1
2θ 28.4, intensity 44.4, hkl 2 0 0
2θ 30.1, intensity 39.3, hkl 1 3 0
2θ 35.0, intensity 39.1, hkl 2 1 1
2θ 43.5, intensity 35.9, hkl 2 3 1

***

Record 5
# Mn21As2N6
Theoretical X-ray powder pattern, Cu Kα. Input: a DFT-relaxed cell (PBE, Alexandria).

Crystal structure
a b c (Å): 10.4416 10.4416 10.4416
angles (deg): 90.00 90.00 90.00
Space group Fm-3m (No. 225)
Asymmetric unit:
Mn 0.0000 0.0000 0.0000 [4 per cell]
Mn 0.0000 0.1648 0.1648 [48 per cell]
Mn 0.1181 0.1181 0.3819 [32 per cell]
As 0.2500 0.2500 0.2500 [8 per cell]
N 0.0000 0.0000 0.2747 [24 per cell]

Most intense lines, 2θ from 5° to 70°, in order of falling intensity:
2θ 45.1, intensity 100.0, hkl 3 3 3
2θ 42.4, intensity 36.5, hkl 4 2 2
2θ 38.6, intensity 32.5, hkl 4 2 0
2θ 49.4, intensity 26.6, hkl 4 4 0
2θ 51.8, intensity 26.0, hkl 5 3 1
2θ 52.6, intensity 11.4, hkl 6 0 0
2θ 58.6, intensity 11.1, hkl 6 2 2
2θ 57.9, intensity 5.5, hkl 5 3 3
2θ 55.7, intensity 5.2, hkl 6 2 0
2θ 34.4, intensity 4.2, hkl 4 0 0
2θ 14.7, intensity 2.2, hkl 1 1 1
2θ 63.6, intensity 2.0, hkl 7 1 1

***

Record 6
# Na2MnAs2Pd
Theoretical X-ray powder pattern, Cu Kα. Input: a DFT-relaxed cell (PBE, Alexandria).

Crystal structure
a b c (Å): 5.7900 13.8138 5.7365
angles (deg): 90.00 90.00 90.00
Space group Ibam (No. 72)
Asymmetric unit:
Na 0.2208 0.1728 0.0000 [8 per cell]
Mn 0.0000 0.5000 0.2500 [4 per cell]
As 0.2126 0.3977 0.0000 [8 per cell]
Pd 0.0000 0.0000 0.2500 [4 per cell]

Most intense lines, 2θ from 5° to 70°, in order of falling intensity:
2θ 12.8, intensity 100.0, hkl 0 2 0
2θ 40.9, intensity 32.9, hkl 0 4 2
2θ 44.5, intensity 31.9, hkl 2 0 2
2θ 40.7, intensity 30.3, hkl 2 4 0
2θ 25.4, intensity 26.7, hkl 1 2 1
2θ 34.0, intensity 18.1, hkl 1 4 1
2θ 46.5, intensity 14.6, hkl 2 2 2
2θ 33.6, intensity 13.6, hkl 2 2 0
2θ 33.8, intensity 12.8, hkl 0 2 2
2θ 50.9, intensity 9.7, hkl 0 6 2
2θ 50.7, intensity 9.0, hkl 2 6 0
2θ 58.0, intensity 6.8, hkl 1 8 1

***

Record 7
# Na2MnAsSe4
Theoretical X-ray powder pattern, Cu Kα. Input: a DFT-relaxed cell (PBE, Alexandria).

Crystal structure
a b c (Å): 7.9452 8.0214 11.2489
angles (deg): 90.00 90.00 90.00
Space group Imma (No. 74)
Asymmetric unit:
Na 0.0000 0.0000 0.0000 [4 per cell]
Na 0.2500 0.2500 0.2500 [4 per cell]
Mn 0.2500 0.2500 0.7500 [4 per cell]
As 0.0000 0.0000 0.5000 [4 per cell]
Se 0.0000 0.0294 0.7412 [8 per cell]
Se 0.2329 0.2500 0.5194 [8 per cell]

Most intense lines, 2θ from 5° to 70°, in order of falling intensity:
2θ 31.7, intensity 100.0, hkl 2 2 0
2θ 45.5, intensity 65.0, hkl 2 2 4
2θ 31.8, intensity 47.9, hkl 0 0 4
2θ 13.6, intensity 41.7, hkl 0 1 1
2θ 45.7, intensity 17.6, hkl 4 0 0
2θ 56.7, intensity 16.6, hkl 4 0 4
2θ 45.2, intensity 16.2, hkl 0 4 0
2θ 56.3, intensity 15.0, hkl 0 4 4
2θ 41.7, intensity 11.7, hkl 0 1 5
2θ 27.5, intensity 9.8, hkl 2 0 2
2θ 41.5, intensity 9.4, hkl 2 3 1
2θ 66.2, intensity 9.3, hkl 4 4 0

***

Record 8
# Mn4NiAs
Theoretical X-ray powder pattern, Cu Kα. Input: a DFT-relaxed cell (PBE, Alexandria).

Crystal structure
a b c (Å): 6.6565 6.6565 6.6565
angles (deg): 90.00 90.00 90.00
Space group F-43m (No. 216)
Asymmetric unit:
Mn 0.1250 0.1250 0.1250 [16 per cell]
Ni 0.0000 0.0000 0.5000 [4 per cell]
As 0.2500 0.2500 0.7500 [4 per cell]

Most intense lines, 2θ from 5° to 70°, in order of falling intensity:
2θ 45.2, intensity 100.0, hkl 3 1 1
2θ 38.2, intensity 37.0, hkl 2 2 0
2θ 47.3, intensity 31.5, hkl 2 2 2
2θ 69.1, intensity 12.1, hkl 4 2 2
2θ 55.2, intensity 1.7, hkl 4 0 0
2θ 23.1, intensity 1.1, hkl 1 1 1